Diffraction record for Tb2HoSn3Pt3. The X-ray powder pattern is computed, not measured: it uses a cell relaxed with GGA-PBE and Cu Kα, 1.54184 Å.
Peak positions follow from Bragg's law for the DFT cell and can differ from measured ones.

Main lines, in order of rising 2θ (5 to 70 degrees two-theta):
index, 2θ (°), I/Imax
0 0 2, 23.68, 14
1 3 1, 32.58, 83
1 4 0, 35.45, 100
0 1 3, 36.53, 33
0 6 0, 41.63, 48
1 4 2, 43.08, 39
2 0 0, 44.97, 28
2 1 3, 59.27, 17
2 6 0, 62.94, 29
1 7 3, 66.81, 35

Cell and atoms:
abc: 4.031 13.007 7.521
angles: 90.00 90.00 90.00
Space group Amm2 (No. 38)
Asymmetric unit:
Tb 0.000 0.203 0.000 (multiplicity 4)
Ho 0.000 0.000 0.391 (multiplicity 2)
Sn 0.500 0.000 0.055 (multiplicity 2)
Sn 0.500 0.129 0.668 (multiplicity 4)
Pt 0.000 0.000 0.796 (multiplicity 2)
Pt 0.500 0.166 0.297 (multiplicity 4)